(1)
For La2Nd2C2Cl5, a PBE-relaxed structure gives the computed X-ray powder pattern in this record (CuKα).
Neutral-atom scattering factors, no anomalous dispersion.

The 10 most intense peaks (10 to 90 degrees two-theta), sorted by position:
Position (°2θ), I (rel.)
10.14, 22
12.27, 59
18.94, 29
24.69, 30
27.49, 76
30.76, 61
32.62, 100
37.41, 40
41.54, 55
49.10, 23

Structural model:
Unit cell a=9.774 b=9.774 c=9.774 alpha=156.96 beta=132.20 gamma=53.70
Atoms (fractional coordinates):
La 0.172 0.172 0.000
La 0.828 0.828 0.000
Nd 0.211 0.500 0.711
Nd 0.789 0.500 0.289
C 0.041 0.041 0.000
C 0.959 0.959 0.000
Cl 0.109 0.334 0.775
Cl 0.440 0.666 0.775
Cl 0.500 0.000 0.500
Cl 0.560 0.334 0.225
Cl 0.891 0.666 0.225


(2)
For Sm3Si3Pd2, a PBE-relaxed structure gives the computed X-ray powder pattern in this record (CuKα).
Neutral-atom scattering factors, no anomalous dispersion.

The 10 most intense peaks (10 to 90 degrees two-theta), sorted by position:
Position (°2θ), I (rel.)
25.01, 24
25.47, 24
33.35, 78
33.46, 100
37.42, 29
37.85, 47
38.80, 27
41.44, 29
41.83, 43
55.90, 38

Structural model:
Unit cell a=5.723 b=5.723 c=14.420 alpha=90.00 beta=90.00 gamma=135.67
Atoms (fractional coordinates):
Sm 0.089 0.911 0.611
Sm 0.089 0.911 0.889
Sm 0.368 0.632 0.750
Sm 0.632 0.368 0.250
Sm 0.911 0.089 0.111
Sm 0.911 0.089 0.389
Si 0.334 0.666 0.250
Si 0.395 0.605 0.539
Si 0.395 0.605 0.961
Si 0.605 0.395 0.039
Si 0.605 0.395 0.461
Si 0.666 0.334 0.750
Pd 0.204 0.796 0.093
Pd 0.204 0.796 0.407
Pd 0.796 0.204 0.593
Pd 0.796 0.204 0.907


(3)
For Zr4Nb2Bi3N3, a PBE-relaxed structure gives the computed X-ray powder pattern in this record (CuKα).
Neutral-atom scattering factors, no anomalous dispersion.

The 10 most intense peaks (10 to 90 degrees two-theta), sorted by position:
Position (°2θ), I (rel.)
13.04, 10
29.61, 24
30.34, 13
35.76, 100
39.83, 15
50.40, 14
52.54, 16
65.18, 17
67.90, 16
88.39, 15

Structural model:
Unit cell a=6.036 b=6.036 c=14.019 alpha=102.41 beta=102.41 gamma=59.96
Atoms (fractional coordinates):
Zr 0.021 0.199 0.082
Zr 0.145 0.305 0.418
Zr 0.199 0.021 0.582
Zr 0.305 0.145 0.918
Zr 0.695 0.855 0.082
Zr 0.801 0.979 0.418
Zr 0.855 0.695 0.582
Zr 0.979 0.801 0.918
Nb 0.365 0.525 0.073
Nb 0.475 0.635 0.427
Nb 0.525 0.365 0.573
Nb 0.635 0.475 0.927
Bi 0.092 0.908 0.250
Bi 0.260 0.416 0.750
Bi 0.416 0.260 0.250
Bi 0.584 0.740 0.750
Bi 0.740 0.584 0.250
Bi 0.908 0.092 0.750
N 0.000 0.500 0.000
N 0.159 0.670 0.500
N 0.330 0.841 0.000
N 0.500 0.000 0.500
N 0.670 0.159 0.000
N 0.841 0.330 0.500


(4)
For La2Zn15Au2, a PBE-relaxed structure gives the computed X-ray powder pattern in this record (CuKα).
Neutral-atom scattering factors, no anomalous dispersion.

The 10 most intense peaks (10 to 90 degrees two-theta), sorted by position:
Position (°2θ), I (rel.)
12.98, 47
28.88, 32
33.96, 73
35.04, 61
39.42, 100
39.63, 61
40.34, 78
40.58, 38
44.50, 56
72.79, 33

Structural model:
Unit cell a=6.923 b=6.923 c=6.923 alpha=82.67 beta=82.67 gamma=82.67
Atoms (fractional coordinates):
La 0.159 0.159 0.159
La 0.841 0.841 0.841
Zn 0.000 0.500 0.500
Zn 0.150 0.150 0.662
Zn 0.150 0.662 0.150
Zn 0.210 0.500 0.790
Zn 0.210 0.790 0.500
Zn 0.338 0.850 0.850
Zn 0.500 0.000 0.500
Zn 0.500 0.210 0.790
Zn 0.500 0.500 0.000
Zn 0.500 0.790 0.210
Zn 0.662 0.150 0.150
Zn 0.790 0.210 0.500
Zn 0.790 0.500 0.210
Zn 0.850 0.338 0.850
Zn 0.850 0.850 0.338
Au 0.391 0.391 0.391
Au 0.609 0.609 0.609


Please write out number 2 again, unchanged.
For Sm3Si3Pd2, a PBE-relaxed structure gives the computed X-ray powder pattern in this record (CuKα).
Neutral-atom scattering factors, no anomalous dispersion.

The 10 most intense peaks (10 to 90 degrees two-theta), sorted by position:
Position (°2θ), I (rel.)
25.01, 24
25.47, 24
33.35, 78
33.46, 100
37.42, 29
37.85, 47
38.80, 27
41.44, 29
41.83, 43
55.90, 38

Structural model:
Unit cell a=5.723 b=5.723 c=14.420 alpha=90.00 beta=90.00 gamma=135.67
Atoms (fractional coordinates):
Sm 0.089 0.911 0.611
Sm 0.089 0.911 0.889
Sm 0.368 0.632 0.750
Sm 0.632 0.368 0.250
Sm 0.911 0.089 0.111
Sm 0.911 0.089 0.389
Si 0.334 0.666 0.250
Si 0.395 0.605 0.539
Si 0.395 0.605 0.961
Si 0.605 0.395 0.039
Si 0.605 0.395 0.461
Si 0.666 0.334 0.750
Pd 0.204 0.796 0.093
Pd 0.204 0.796 0.407
Pd 0.796 0.204 0.593
Pd 0.796 0.204 0.907